Starting from DFT lattice parameters and positions (GGA-PBE), the XRD peak list of Ba3Sc2N4 was simulated for Cu Kα, 1.54184 Å.

Top 8 peaks for 2θ = 10–90°, sorted by position:
two_theta  intensity  h k l
25.3  100  0 3 1
28.6  41  2 1 0
29.1  97  1 0 3
29.9  25  2 1 1
30.2  46  1 1 3
32.5  81  1 3 2
33.0  51  2 2 1
44.6  27  1 3 4

Atomic structure:
a b c (Å): 6.4895 11.2087 10.4511
angles (deg): 90.00 90.00 90.00
Space group Pnna (No. 52)
Inequivalent atoms, fractional coordinates:
Ba 0.1176 0.1557 0.0853
Ba 0.2500 0.0000 0.4108
Sc 0.1618 0.2500 0.7500
Sc 0.2500 0.0000 0.7407
N 0.0183 0.0999 0.8383
N 0.1377 0.6432 0.8687